# In7GeN6
Simulated powder diffraction line list, Cu Kα (weighted mean of Kα1 and Kα2). Input: a cell relaxed with GGA-PBE.
Peak positions follow from Bragg's law for the DFT cell and can differ from measured ones.

Peak list (10 most intense, 10 to 90 degrees two-theta, in order of rising 2θ)
2theta  Rel. int.  h k l
25.09  246  1 0 4
28.85  1000  2 0 4
29.08  309  0 2 0
32.73  624  4 0 0
33.73  168  3 1 3
33.99  608  2 2 1
34.25  991  0 2 3
48.10  619  4 2 3
52.71  221  1 2 7
54.84  231  2 2 7

a b c (Å): 10.9433 6.1455 15.0093
angles (deg): 90.00 90.00 90.00
Element x y z (fractional)
In 0.0000 0.1523 0.2500
In 0.0000 0.8477 0.7500
In 0.0021 0.3130 0.0534
In 0.0021 0.6870 0.5534
In 0.2293 0.1261 0.5907
In 0.2293 0.8739 0.0907
In 0.2307 0.1403 0.8588
In 0.2307 0.8597 0.3588
In 0.2693 0.3597 0.3588
In 0.2693 0.6403 0.8588
In 0.2707 0.3739 0.0907
In 0.2707 0.6261 0.5907
In 0.4979 0.1870 0.5534
In 0.4979 0.8130 0.0534
In 0.5000 0.3477 0.7500
In 0.5000 0.6523 0.2500
In 0.5021 0.1870 0.9466
In 0.5021 0.8130 0.4466
In 0.7293 0.3739 0.4093
In 0.7293 0.6261 0.9093
In 0.7307 0.3597 0.1412
In 0.7307 0.6403 0.6412
In 0.7693 0.1403 0.6412
In 0.7693 0.8597 0.1412
In 0.7707 0.1261 0.9093
In 0.7707 0.8739 0.4093
In 0.9979 0.3130 0.4466
In 0.9979 0.6870 0.9466
Ge 0.0000 0.3461 0.7500
Ge 0.0000 0.6539 0.2500
Ge 0.5000 0.1539 0.2500
Ge 0.5000 0.8461 0.7500
N 0.0778 0.4456 0.3219
N 0.0778 0.5544 0.8219
N 0.1252 0.1326 0.7265
N 0.1252 0.8674 0.2265
N 0.1671 0.1194 0.4452
N 0.1671 0.8806 0.9452
N 0.3329 0.3806 0.9452
N 0.3329 0.6194 0.4452
N 0.3748 0.3674 0.2265
N 0.3748 0.6326 0.7265
N 0.4222 0.0544 0.8219
N 0.4222 0.9456 0.3219
N 0.5778 0.0544 0.6781
N 0.5778 0.9456 0.1781
N 0.6252 0.3674 0.2735
N 0.6252 0.6326 0.7735
N 0.6671 0.3806 0.5548
N 0.6671 0.6194 0.0548
N 0.8329 0.1194 0.0548
N 0.8329 0.8806 0.5548
N 0.8748 0.1326 0.7735
N 0.8748 0.8674 0.2735
N 0.9222 0.4456 0.1781
N 0.9222 0.5544 0.6781